[1]
Structure and calculated X-ray powder pattern of CeBW (a cell relaxed with PBE; Cu Kα X-rays).
Peak positions follow from Bragg's law for the DFT cell and can differ from measured ones.

abc: 13.0498 12.1328 5.3233
angles: 87.67 68.27 24.05
Sites, in units of the cell vectors:
Ce 0.0102 0.7398 0.0102
Ce 0.2602 0.9898 0.2602
Ce 0.7398 0.0102 0.7398
Ce 0.9898 0.2602 0.9898
B 0.3009 0.3009 0.4491
B 0.4491 0.4491 0.3009
B 0.5509 0.5509 0.6991
B 0.6991 0.6991 0.5509
W 0.0070 0.0070 0.7430
W 0.2570 0.2570 0.9930
W 0.7430 0.7430 0.0070
W 0.9930 0.9930 0.2570

Top 10 peaks for 2θ from 10° to 80°, by angle:
3.060 Å, intensity 90; 3.006 Å, intensity 92; 2.336 Å, intensity 100; 2.296 Å, intensity 65; 2.245 Å, intensity 61; 2.103 Å, intensity 32; 1.597 Å, intensity 26; 1.572 Å, intensity 24; 1.502 Å, intensity 18; 1.494 Å, intensity 20



[2]
Structure and calculated X-ray powder pattern of CuAgW2 (a cell relaxed with PBE; Cu Kα X-rays).
Peak positions follow from Bragg's law for the DFT cell and can differ from measured ones.

abc: 2.7152 2.7152 8.9765
angles: 90.00 90.00 108.23
Sites, in units of the cell vectors:
Cu 0.0000 0.0000 0.0000
Ag 0.5000 0.5000 0.7555
W 0.0000 0.0000 0.4834
W 0.5000 0.5000 0.2339

Top 10 peaks for 2θ from 10° to 80°, by angle:
2.479 Å, intensity 9; 2.244 Å, intensity 24; 2.236 Å, intensity 100; 2.200 Å, intensity 24; 1.592 Å, intensity 9; 1.571 Å, intensity 16; 1.298 Å, intensity 8; 1.294 Å, intensity 15; 1.289 Å, intensity 9; 1.277 Å, intensity 17